Simulated powder X-ray diffraction pattern of LiAcCl2O for Cu Kα (λ = 1.5418 Å), from a structure optimized by DFT (GGA-PBE).
Neutral-atom scattering factors, no anomalous dispersion.

Top 10 peaks for 10 to 90 degrees two-theta, in order of falling intensity:
index	2θ (°)	I (rel.)
1 0 3	30.7	100
1 0 2	25.8	66
1 1 0	30.1	64
1 0 1	22.4	48
2 1 3	53.8	40
2 0 0	43.1	33
1 1 4	42.6	32
1 1 1	31.0	25
2 1 2	50.9	24
1 0 7	57.6	16

Cell and atoms:
```
data_LiAcCl2O
_symmetry_space_group_name_H-M 'P 4/n m m'
_symmetry_Int_Tables_number 129
_cell_length_a 4.199
_cell_length_b 4.199
_cell_length_c 12.117
_cell_angle_alpha 90.00
_cell_angle_beta 90.00
_cell_angle_gamma 90.00
loop_
_symmetry_equiv_pos_as_xyz
'x,y,z'
'-x,-y,-z'
'-y+1/2,x,z'
'y+1/2,-x,-z'
'-x+1/2,-y+1/2,z'
'x+1/2,y+1/2,-z'
'y,-x+1/2,z'
'-y,x+1/2,-z'
'x+1/2,-y,-z'
'-x+1/2,y,z'
'-y,-x,-z'
'y,x,z'
'-x,y+1/2,-z'
'x,-y+1/2,z'
'y+1/2,x+1/2,-z'
'-y+1/2,-x+1/2,z'
loop_
_atom_site_label
_atom_site_fract_x
_atom_site_fract_y
_atom_site_fract_z
Li1 0.250 0.250 0.087
Ac1 0.250 0.250 0.608
Cl1 0.250 0.250 0.283
Cl2 0.250 0.250 0.894
O1 0.250 0.750 0.500
```